Starting from a DFT-relaxed cell (PBE, the Materials Project), the powder XRD pattern of Lu2CuRh was computed for Cu Kα (weighted mean of Kα1 and Kα2).
No peak broadening, texture or thermal motion is included.

Top 6 peaks for 10 to 90 degrees two-theta, sorted by position:
26.4°, d 3.379, I 13, hkl 2 0 0
37.6°, d 2.389, I 100, hkl 2 2 0
54.3°, d 1.689, I 17, hkl 4 0 0
61.4°, d 1.511, I 6, hkl 4 2 0
68.0°, d 1.379, I 35, hkl 4 2 2
80.4°, d 1.195, I 11, hkl 4 4 0

abc: 6.758 6.758 6.758
angles: 90.00 90.00 90.00
Space group Fm-3m (No. 225)
Unique sites:
Lu 0.250 0.250 0.250
Cu 0.000 0.000 0.000
Rh 0.000 0.000 0.500